# 1
Structure and simulated powder diffraction line list of AcV2AgO7 (a cell relaxed with GGA+U; Cu Kα X-rays).
Kinematic intensities with the Lorentz-polarization factor, no thermal factor.

Atomic structure:
Cell lengths 3.7108, 3.7108, 10.8344 Å; angles 90.00, 90.00, 90.00 degrees
Space group P4/mmm (No. 123)
Asymmetric unit:
Ac 0.0000 0.0000 0.0000 [1 per cell]
V 0.5000 0.5000 0.2227 [2 per cell]
Ag 0.0000 0.0000 0.5000 [1 per cell]
O 0.0000 0.5000 0.1873 [4 per cell]
O 0.5000 0.5000 0.0000 [1 per cell]
O 0.5000 0.5000 0.3777 [2 per cell]

Most intense lines, 2θ = 10–80°, in order of rising 2θ:
| two_theta | I_rel |
| --- | --- |
| 16.4 | 23.2 |
| 24.0 | 14.6 |
| 29.2 | 100.0 |
| 33.1 | 16.6 |
| 34.2 | 34.1 |
| 38.1 | 26.7 |
| 41.3 | 17.4 |
| 48.3 | 23.0 |
| 49.1 | 20.0 |
| 56.7 | 12.6 |
| 58.1 | 28.2 |
| 60.5 | 11.6 |

***

# 2
Structure and simulated powder diffraction line list of AcV4Ag3O12 (a cell relaxed with GGA+U; Cu Kα X-rays).
Kinematic intensities with the Lorentz-polarization factor, no thermal factor.

Atomic structure:
Cell lengths 11.5512, 11.5512, 8.3276 Å; angles 90.00, 90.00, 120.00 degrees
Space group R32 (No. 155, hexagonal axes)
Asymmetric unit:
Ac 0.0000 0.0000 0.0000 [3 per cell]
V 0.0000 0.0000 0.5000 [3 per cell]
V 0.0000 0.4325 0.5000 [9 per cell]
Ag 0.0000 0.5579 0.0000 [9 per cell]
O 0.0000 0.5769 0.5000 [9 per cell]
O 0.0000 0.8495 0.5000 [9 per cell]
O 0.0450 0.2180 0.1491 [18 per cell]

Most intense lines, 2θ = 10–80°, in order of rising 2θ:
| two_theta | I_rel |
| --- | --- |
| 13.8 | 13.7 |
| 20.7 | 37.8 |
| 25.9 | 32.6 |
| 26.7 | 16.4 |
| 27.9 | 100.0 |
| 31.0 | 36.2 |
| 34.1 | 22.2 |
| 35.9 | 14.0 |
| 42.1 | 14.2 |
| 45.1 | 15.6 |
| 47.3 | 27.2 |
| 57.6 | 25.3 |